# Th3Co9B2
Theoretical powder diffraction line list, Cu Ka. Input: a PBE-relaxed structure.
Neutral-atom scattering factors, no anomalous dispersion.

Structure:
Cell lengths 5.6255, 5.6255, 6.8888 Å; angles 90.00, 90.00, 120.00 degrees
Space group P-3m1 (No. 164)
Inequivalent atoms, fractional coordinates:
1 Th 0.0000 0.0000 0.0000 (multiplicity 1)
2 Th 0.3333 0.6667 0.3367 (multiplicity 2)
3 Co 0.0000 0.5000 0.0000 (multiplicity 3)
4 Co 0.1596 0.3192 0.6612 (multiplicity 6)
5 B 0.3333 0.6667 0.8172 (multiplicity 2)

Principal peaks in the range 10 to 90 degrees two-theta, in order of rising 2θ:
2θ/deg	I/Imax	h k l
22.35	445	0 1 1
31.82	447	1 1 0
39.23	1000	2 0 1
45.61	509	0 2 2
66.49	318	2 2 0
80.00	358	0 2 5